No. 1
# BaCuPdCl6
Theoretical powder X-ray diffraction pattern, Cu Kα. Input: a DFT-relaxed cell (GGA-PBE, Alexandria).
Intensities are scaled so that the largest is 100.

Top 10 peaks for 2θ from 10° to 80°, by angle:
Position (°2θ), intensity, h k l
16.68, 100, 0 1 -1
18.39, 47, 1 -1 0
19.58, 51, 0 1 1
20.75, 52, -1 1 1
23.21, 43, 1 -1 1
23.37, 42, 1 0 1
25.81, 36, 0 1 -2
30.24, 58, 1 -2 1
36.97, 55, -1 2 2
39.04, 49, 1 2 -2

Cell lengths 5.576, 6.848, 7.662 Å; angles 95.08, 102.79, 105.87 degrees
Space group P1 (No. 1)
One atom of each set of equivalent atoms:
Ba (0.000, 0.000, 0.000)
Cu (0.680, 0.490, 0.342)
Pd (0.339, 0.513, 0.663)
Cl (0.021, 0.708, 0.286)
Cl (0.333, 0.280, 0.418)
Cl (0.394, 0.752, 0.914)
Cl (0.611, 0.248, 0.099)
Cl (0.688, 0.728, 0.584)
Cl (0.975, 0.295, 0.715)

=====

No. 2
# CaTc4Ge4
Theoretical powder X-ray diffraction pattern, Cu Kα. Input: a DFT-relaxed cell (GGA-PBE, Alexandria).
Intensities are scaled so that the largest is 100.

Top 10 peaks for 2θ from 10° to 80°, by angle:
Position (°2θ), intensity, h k l
15.00, 100, 1 1 0
30.32, 17, 2 1 1
33.93, 72, 3 1 0
37.60, 18, 0 0 2
39.17, 47, 1 0 2
43.37, 81, 4 0 0
48.79, 25, 1 4 1
50.28, 30, 3 0 2
51.54, 15, 3 1 2
59.82, 13, 4 1 2

Cell lengths 8.355, 8.355, 4.784 Å; angles 90.00, 90.00, 90.00 degrees
Space group P4_2/n (No. 86, origin choice 2)
One atom of each set of equivalent atoms:
Ca (0.250, 0.250, 0.250)
Tc (0.124, 0.861, 0.667)
Ge (0.045, 0.901, 0.176)